Simulated PXRD pattern
Compound: HoPuHgPd
Radiation: Cu Kα (λ = 1.5418 Å)
Structure: a PBE-relaxed structure

The 8 most intense peaks (2θ from 10° to 90°), sorted by position:
- (1 1 1), 21.18 deg, d 4.194, I 6
- (2 0 0), 24.51 deg, d 3.632, I 2
- (2 2 0), 34.93 deg, d 2.568, I 100
- (3 1 1), 41.22 deg, d 2.190, I 4
- (4 0 0), 50.24 deg, d 1.816, I 18
- (4 2 2), 62.65 deg, d 1.483, I 38
- (4 4 0), 73.79 deg, d 1.284, I 12
- (6 2 0), 84.32 deg, d 1.149, I 17

Structural model:
```
data_HoPuHgPd
_space_group_name_H-M_alt 'F -4 3 m'
_space_group_IT_number 216
_space_group_name_Hall 'F -4 2 3'
_cell_length_a 7.2644
_cell_length_b 7.2644
_cell_length_c 7.2644
_cell_angle_alpha 90.00
_cell_angle_beta 90.00
_cell_angle_gamma 90.00
loop_
_atom_site_label
_atom_site_type_symbol
_atom_site_fract_x
_atom_site_fract_y
_atom_site_fract_z
Ho1 Ho 0.0000 0.0000 0.0000
Pu1 Pu 0.0000 0.0000 0.5000
Hg1 Hg 0.2500 0.2500 0.2500
Pd1 Pd 0.2500 0.2500 0.7500
```